This entry pairs a crystal structure of Th2Te4Pd with its calculated powder diffraction line list. Radiation: Cu Ka. Structure: the PBE geometry in Alexandria.

The 10 most intense peaks (2θ from 5° to 70°), sorted by position:
(hkl), 2theta, I_rel
2 0 0, 13.16, 33
1 1 -1, 23.08, 23
0 0 2, 26.56, 50
3 1 -1, 26.74, 100
3 1 1, 35.28, 62
5 1 -1, 35.55, 33
6 0 -2, 35.76, 32
0 2 0, 40.47, 29
3 1 -3, 40.66, 56
0 2 2, 49.07, 19

Crystal structure
abc: 15.3917 4.4574 7.6767
angles: 90.00 119.04 90.00
Atoms (fractional coordinates):
Th: 0.2476 0.0000 0.2474
Th: 0.2524 0.5000 0.7526
Th: 0.7476 0.5000 0.2474
Th: 0.7524 0.0000 0.7526
Te: 0.1141 0.0000 0.7780
Te: 0.1137 0.5000 0.2893
Te: 0.3863 0.0000 0.7107
Te: 0.3859 0.5000 0.2220
Te: 0.6137 0.0000 0.2893
Te: 0.6141 0.5000 0.7780
Te: 0.8859 0.0000 0.2220
Te: 0.8863 0.5000 0.7107
Pd: 0.0000 0.5000 0.5000
Pd: 0.5000 0.0000 0.5000